Record 1
This entry pairs a crystal structure of Mg14CrSi with its theoretical PXRD pattern. Radiation: Cu Kα X-rays. Structure: a cell relaxed with PBE.
Peak positions follow from Bragg's law for the DFT cell and can differ from measured ones.

Atomic structure:
a = 10.216 Å, b = 6.244 Å, c = 6.244 Å
α = 59.80°, β = 90.00°, γ = 90.00°
Fractional coordinates of all 16 atoms:
Mg (0.000, 0.000, 0.000)
Mg (0.000, 0.001, 0.500)
Mg (0.000, 0.500, 0.001)
Mg (0.000, 0.500, 0.500)
Mg (0.252, 0.665, 0.665)
Mg (0.254, 0.165, 0.165)
Mg (0.260, 0.169, 0.670)
Mg (0.260, 0.670, 0.169)
Mg (0.500, 0.500, 0.998)
Mg (0.500, 0.998, 0.500)
Mg (0.740, 0.169, 0.670)
Mg (0.740, 0.670, 0.169)
Mg (0.746, 0.165, 0.165)
Mg (0.748, 0.665, 0.665)
Cr (0.500, 0.501, 0.501)
Si (0.500, 0.002, 0.002)

Main lines, by intensity (2θ from 10° to 90°):
2θ = 37.67°, intensity 100
2θ = 35.14°, intensity 27
2θ = 33.20°, intensity 16
2θ = 49.09°, intensity 15
2θ = 70.73°, intensity 12
2θ = 64.74°, intensity 12
2θ = 59.19°, intensity 11
2θ = 72.45°, intensity 9
2θ = 33.10°, intensity 8
2θ = 70.91°, intensity 6

***

Record 2
This entry pairs a crystal structure of Mg6Si5 with its theoretical PXRD pattern. Radiation: Cu Kα X-rays. Structure: a cell relaxed with PBE.
Peak positions follow from Bragg's law for the DFT cell and can differ from measured ones.

Atomic structure:
a = 4.309 Å, b = 8.518 Å, c = 12.057 Å
α = 79.08°, β = 83.16°, γ = 79.56°
Fractional coordinates of all 22 atoms:
Mg (0.000, 0.000, 0.000)
Mg (0.007, 0.115, 0.718)
Mg (0.048, 0.433, 0.075)
Mg (0.068, 0.363, 0.351)
Mg (0.219, 0.984, 0.447)
Mg (0.231, 0.712, 0.677)
Mg (0.423, 0.607, 0.422)
Mg (0.521, 0.719, 0.055)
Mg (0.551, 0.241, 0.515)
Mg (0.743, 0.475, 0.847)
Mg (0.769, 0.127, 0.258)
Mg (0.921, 0.750, 0.246)
Si (0.089, 0.716, 0.904)
Si (0.367, 0.967, 0.180)
Si (0.381, 0.379, 0.706)
Si (0.435, 0.163, 0.864)
Si (0.529, 0.220, 0.044)
Si (0.563, 0.475, 0.231)
Si (0.588, 0.877, 0.829)
Si (0.623, 0.941, 0.626)
Si (0.839, 0.742, 0.504)
Si (0.934, 0.445, 0.576)

Main lines, by intensity (2θ from 10° to 90°):
2θ = 42.09°, intensity 100
2θ = 36.96°, intensity 99
2θ = 35.96°, intensity 79
2θ = 34.12°, intensity 50
2θ = 32.48°, intensity 45
2θ = 33.18°, intensity 42
2θ = 34.04°, intensity 37
2θ = 34.53°, intensity 37
2θ = 39.83°, intensity 26
2θ = 46.22°, intensity 26

***

Record 3
This entry pairs a crystal structure of BaGaGe with its theoretical PXRD pattern. Radiation: Cu Kα X-rays. Structure: a cell relaxed with PBE.
Peak positions follow from Bragg's law for the DFT cell and can differ from measured ones.

Atomic structure:
a = 4.401 Å, b = 4.401 Å, c = 20.472 Å
α = 90.00°, β = 90.00°, γ = 120.00°
Fractional coordinates of all 12 atoms:
Ba (0.000, 0.000, 0.000)
Ba (0.000, 0.000, 0.250)
Ba (0.000, 0.000, 0.500)
Ba (0.000, 0.000, 0.750)
Ga (0.333, 0.667, 0.135)
Ga (0.333, 0.667, 0.365)
Ga (0.667, 0.333, 0.635)
Ga (0.667, 0.333, 0.865)
Ge (0.333, 0.667, 0.616)
Ge (0.333, 0.667, 0.884)
Ge (0.667, 0.333, 0.116)
Ge (0.667, 0.333, 0.384)

Main lines, by intensity (2θ from 10° to 90°):
2θ = 29.21°, intensity 100
2θ = 41.01°, intensity 37
2θ = 55.04°, intensity 28
2θ = 51.14°, intensity 21
2θ = 67.55°, intensity 18
2θ = 35.07°, intensity 17
2θ = 74.69°, intensity 12
2θ = 88.93°, intensity 12
2θ = 59.35°, intensity 11
2θ = 85.29°, intensity 8

***

Record 4
This entry pairs a crystal structure of Ta2Tl4Se11 with its theoretical PXRD pattern. Radiation: Cu Kα X-rays. Structure: a cell relaxed with PBE.
Peak positions follow from Bragg's law for the DFT cell and can differ from measured ones.

Atomic structure:
a = 8.285 Å, b = 9.401 Å, c = 14.127 Å
α = 72.84°, β = 89.22°, γ = 85.69°
Fractional coordinates of all 34 atoms:
Ta (0.125, 0.365, 0.304)
Ta (0.336, 0.112, 0.188)
Ta (0.664, 0.888, 0.812)
Ta (0.875, 0.635, 0.696)
Tl (0.047, 0.763, 0.981)
Tl (0.210, 0.976, 0.574)
Tl (0.233, 0.417, 0.581)
Tl (0.494, 0.729, 0.110)
Tl (0.506, 0.271, 0.890)
Tl (0.767, 0.583, 0.419)
Tl (0.790, 0.024, 0.426)
Tl (0.953, 0.237, 0.019)
Se (0.016, 0.712, 0.536)
Se (0.034, 0.133, 0.250)
Se (0.053, 0.652, 0.250)
Se (0.111, 0.499, 0.815)
Se (0.259, 0.402, 0.112)
Se (0.273, 0.038, 0.041)
Se (0.345, 0.865, 0.332)
Se (0.387, 0.179, 0.370)
Se (0.396, 0.441, 0.353)
Se (0.405, 0.073, 0.752)
Se (0.462, 0.689, 0.882)
Se (0.538, 0.311, 0.118)
Se (0.595, 0.927, 0.248)
Se (0.604, 0.559, 0.647)
Se (0.613, 0.821, 0.630)
Se (0.655, 0.135, 0.668)
Se (0.727, 0.962, 0.959)
Se (0.741, 0.598, 0.888)
Se (0.889, 0.501, 0.185)
Se (0.947, 0.348, 0.750)
Se (0.966, 0.867, 0.750)
Se (0.984, 0.288, 0.464)

Main lines, by intensity (2θ from 10° to 90°):
2θ = 28.48°, intensity 100
2θ = 29.63°, intensity 94
2θ = 22.58°, intensity 75
2θ = 30.51°, intensity 71
2θ = 14.03°, intensity 65
2θ = 12.61°, intensity 49
2θ = 21.12°, intensity 46
2θ = 35.08°, intensity 42
2θ = 18.95°, intensity 41
2θ = 28.72°, intensity 38

***

Record 5
This entry pairs a crystal structure of Ba with its theoretical PXRD pattern. Radiation: Cu Kα X-rays. Structure: a cell relaxed with PBE.
Peak positions follow from Bragg's law for the DFT cell and can differ from measured ones.

Atomic structure:
a = 7.123 Å, b = 9.282 Å, c = 6.579 Å
α = 90.00°, β = 90.00°, γ = 90.00°
Fractional coordinates of all 8 atoms:
Ba (0.000, 0.013, 0.250)
Ba (0.000, 0.356, 0.750)
Ba (0.000, 0.644, 0.250)
Ba (0.000, 0.987, 0.750)
Ba (0.500, 0.144, 0.250)
Ba (0.500, 0.487, 0.750)
Ba (0.500, 0.513, 0.250)
Ba (0.500, 0.856, 0.750)

Main lines, by intensity (2θ from 10° to 90°):
2θ = 31.52°, intensity 100
2θ = 25.00°, intensity 95
2θ = 42.05°, intensity 83
2θ = 27.11°, intensity 77
2θ = 20.72°, intensity 74
2θ = 23.46°, intensity 72
2θ = 37.21°, intensity 67
2θ = 34.55°, intensity 53
2θ = 52.83°, intensity 39
2θ = 56.28°, intensity 35

***

Record 6
This entry pairs a crystal structure of Rb2MgFe2S4 with its theoretical PXRD pattern. Radiation: Cu Kα X-rays. Structure: a cell relaxed with PBE.
Peak positions follow from Bragg's law for the DFT cell and can differ from measured ones.

Atomic structure:
a = 5.063 Å, b = 6.907 Å, c = 7.154 Å
α = 67.03°, β = 88.71°, γ = 68.62°
Fractional coordinates of all 9 atoms:
Rb (0.000, 0.000, 0.000)
Rb (0.290, 0.373, 0.164)
Mg (0.537, 0.959, 0.633)
Fe (0.442, 0.618, 0.572)
Fe (0.942, 0.613, 0.571)
S (0.039, 0.922, 0.506)
S (0.345, 0.308, 0.689)
S (0.680, 0.649, 0.320)
S (0.710, 0.561, 0.845)

Main lines, by intensity (2θ from 10° to 90°):
2θ = 30.47°, intensity 100
2θ = 31.19°, intensity 76
2θ = 29.03°, intensity 70
2θ = 28.68°, intensity 65
2θ = 15.63°, intensity 56
2θ = 24.22°, intensity 55
2θ = 27.77°, intensity 47
2θ = 25.22°, intensity 44
2θ = 27.35°, intensity 42
2θ = 15.11°, intensity 40

***

Record 7
This entry pairs a crystal structure of RbLiMg14O15 with its theoretical PXRD pattern. Radiation: Cu Kα X-rays. Structure: a cell relaxed with PBE.
Peak positions follow from Bragg's law for the DFT cell and can differ from measured ones.

Atomic structure:
a = 4.379 Å, b = 8.833 Å, c = 8.400 Å
α = 90.00°, β = 90.00°, γ = 90.00°
Fractional coordinates of all 31 atoms:
Rb (0.000, 0.000, 0.000)
Li (0.000, 0.500, 0.414)
Mg (0.000, 0.000, 0.432)
Mg (0.000, 0.250, 0.660)
Mg (0.000, 0.284, 0.159)
Mg (0.000, 0.500, 0.897)
Mg (0.000, 0.716, 0.159)
Mg (0.000, 0.750, 0.660)
Mg (0.500, 0.000, 0.165)
Mg (0.500, 0.000, 0.669)
Mg (0.500, 0.254, 0.406)
Mg (0.500, 0.256, 0.901)
Mg (0.500, 0.500, 0.158)
Mg (0.500, 0.500, 0.646)
Mg (0.500, 0.744, 0.901)
Mg (0.500, 0.746, 0.406)
O (0.000, 0.000, 0.660)
O (0.000, 0.227, 0.391)
O (0.000, 0.272, 0.910)
O (0.000, 0.500, 0.156)
O (0.000, 0.500, 0.652)
O (0.000, 0.728, 0.910)
O (0.000, 0.773, 0.391)
O (0.500, 0.000, 0.399)
O (0.500, 0.000, 0.906)
O (0.500, 0.237, 0.153)
O (0.500, 0.250, 0.653)
O (0.500, 0.500, 0.399)
O (0.500, 0.500, 0.909)
O (0.500, 0.750, 0.653)
O (0.500, 0.763, 0.153)

Main lines, by intensity (2θ from 10° to 90°):
2θ = 41.23°, intensity 100
2θ = 40.87°, intensity 94
2θ = 59.45°, intensity 54
2θ = 43.07°, intensity 52
2θ = 35.93°, intensity 39
2θ = 61.15°, intensity 31
2θ = 10.53°, intensity 29
2θ = 60.88°, intensity 28
2θ = 76.19°, intensity 27
2θ = 31.20°, intensity 24

***

Record 8
This entry pairs a crystal structure of VN with its theoretical PXRD pattern. Radiation: Cu Kα X-rays. Structure: a cell relaxed with PBE.
Peak positions follow from Bragg's law for the DFT cell and can differ from measured ones.

Atomic structure:
a = 2.939 Å, b = 2.885 Å, c = 4.137 Å
α = 90.00°, β = 91.49°, γ = 90.00°
Fractional coordinates of all 4 atoms:
V (0.206, 0.250, 0.228)
V (0.794, 0.750, 0.772)
N (0.278, 0.250, 0.736)
N (0.722, 0.750, 0.264)

Main lines, by intensity (2θ from 10° to 90°):
2θ = 43.99°, intensity 100
2θ = 38.03°, intensity 80
2θ = 43.78°, intensity 51
2θ = 37.07°, intensity 31
2θ = 63.14°, intensity 30
2θ = 64.45°, intensity 22
2θ = 81.32°, intensity 16
2θ = 64.61°, intensity 14
2θ = 63.31°, intensity 11
2θ = 76.89°, intensity 11